Record 1
Eu4LuSn3S12: simulated XRD peak list (Cu Kα (λ = 1.5418 Å)), based on a PBE-relaxed structure.

```
data_Eu4LuSn3S12
_chemical_formula_sum 'Eu8 Lu2 Sn6 S24'
_cell_length_a 3.9706
_cell_length_b 20.3564
_cell_length_c 11.5122
_cell_angle_alpha 90.00
_cell_angle_beta 90.00
_cell_angle_gamma 90.00
_symmetry_space_group_name_H-M 'P m c 21'
_symmetry_Int_Tables_number 26
loop_
_symmetry_equiv_pos_as_xyz
'x,y,z'
'-x,-y,z+1/2'
'-x,y,z'
'x,-y,z+1/2'
loop_
_atom_site_label
_atom_site_type_symbol
_atom_site_fract_x
_atom_site_fract_y
_atom_site_fract_z
_atom_site_occupancy
Eu1 Eu 0.0000 0.0845 0.0000 1
Eu2 Eu 0.0000 0.2593 0.2224 1
Eu3 Eu 0.0000 0.3818 0.5856 1
Eu4 Eu 0.0000 0.4120 0.9604 1
Lu1 Lu 0.0000 0.1047 0.6395 1
Sn1 Sn 0.5000 0.0875 0.3316 1
Sn2 Sn 0.5000 0.2496 0.8108 1
Sn3 Sn 0.5000 0.4248 0.2999 1
S1 S 0.0000 0.0119 0.2621 1
S2 S 0.0000 0.1580 0.4150 1
S3 S 0.0000 0.2393 0.6595 1
S4 S 0.0000 0.2522 0.9591 1
S5 S 0.0000 0.4912 0.2373 1
S6 S 0.5000 0.0306 0.5319 1
S7 S 0.5000 0.1218 0.8065 1
S8 S 0.5000 0.1553 0.1474 1
S9 S 0.5000 0.3192 0.4081 1
S10 S 0.5000 0.3523 0.1204 1
S11 S 0.5000 0.3725 0.7789 1
S12 S 0.5000 0.4803 0.4965 1
```

Top 6 peaks for 2θ = 5–70°, in order of falling intensity:
(hkl)  two_theta  Rel. int.
1 3 1  27.15  100
0 3 3  26.69  67
1 0 2  27.29  50
1 6 2  38.24  46
1 1 3  32.75  45
0 6 0  26.27  44

---

Record 2
EuLu2Se4: simulated XRD peak list (Cu Kα (λ = 1.5418 Å)), based on a PBE-relaxed structure.

```
data_EuLu2Se4
_chemical_formula_sum 'Eu4 Lu8 Se16'
_cell_length_a 12.4127
_cell_length_b 4.0620
_cell_length_c 14.7019
_cell_angle_alpha 90.00
_cell_angle_beta 90.00
_cell_angle_gamma 90.00
_symmetry_space_group_name_H-M 'P n m a'
_symmetry_Int_Tables_number 62
loop_
_symmetry_equiv_pos_as_xyz
'x,y,z'
'-x,-y,-z'
'-x+1/2,-y,z+1/2'
'x+1/2,y,-z+1/2'
'x+1/2,-y+1/2,-z+1/2'
'-x+1/2,y+1/2,z+1/2'
'-x,y+1/2,-z'
'x,-y+1/2,z'
loop_
_atom_site_label
_atom_site_type_symbol
_atom_site_fract_x
_atom_site_fract_y
_atom_site_fract_z
_atom_site_occupancy
Eu1 Eu 0.2397 0.2500 0.1663 1
Lu1 Lu 0.0610 0.2500 0.3891 1
Lu2 Lu 0.0834 0.2500 0.9027 1
Se1 Se 0.0279 0.7500 0.7843 1
Se2 Se 0.0926 0.2500 0.5772 1
Se3 Se 0.1296 0.7500 0.0314 1
Se4 Se 0.2050 0.7500 0.3298 1
```

Top 6 peaks for 2θ = 5–70°, in order of falling intensity:
(hkl)  two_theta  Rel. int.
3 0 2  24.69  100
2 1 4  35.99  99
1 1 3  29.45  94
1 1 2  26.07  65
0 2 0  44.62  62
0 0 4  24.21  50